Zn2Co9O13: simulated PXRD pattern (λ = 1.5418 Å (Cu Kα)), based on a DFT-relaxed cell (PBE+U, Alexandria).

Cell and atoms:
Cell lengths 9.6617, 2.8686, 16.3284 Å; angles 90.00, 97.10, 90.00 degrees
Space group C2/m (No. 12)
Asymmetric unit:
Zn 0.2163 0.0000 0.2281 [4 per cell]
Co 0.0000 0.5000 0.5000 [2 per cell]
Co 0.0045 0.0000 0.6698 [4 per cell]
Co 0.0683 0.0000 0.8826 [4 per cell]
Co 0.1436 0.5000 0.0404 [4 per cell]
Co 0.2469 0.0000 0.5855 [4 per cell]
O 0.0000 0.0000 0.0000 [2 per cell]
O 0.0658 0.5000 0.1416 [4 per cell]
O 0.1017 0.5000 0.6113 [4 per cell]
O 0.1217 0.0000 0.4708 [4 per cell]
O 0.1292 0.5000 0.3088 [4 per cell]
O 0.1368 0.0000 0.7798 [4 per cell]
O 0.1993 0.5000 0.9290 [4 per cell]

The 10 most intense peaks (10° ≤ 2θ ≤ 90°), in order of rising 2θ:
d (Å)  I (rel.)
2.575  27
2.543  80
2.487  100
2.415  82
2.094  37
2.044  66
2.024  47
1.956  32
1.531  27
1.434  34